Starting from DFT lattice parameters and positions (GGA-PBE), the powder XRD pattern of ZrGaIrRh was simulated for Cu Kα (weighted mean of Kα1 and Kα2).
Intensities are scaled so that the largest is 100.

a b c (Å): 4.6628 4.6628 4.6628
angles (deg): 125.87 125.87 80.11
Positions (direct):
Zr: 0.0000 0.0000 0.0000
Ga: 0.5000 0.5000 0.0000
Ir: 0.7500 0.2500 0.5000
Rh: 0.2500 0.7500 0.5000

The 8 most intense peaks (10° ≤ 2θ ≤ 90°), sorted by position:
2theta	I_rel
24.40	11
39.23	100
42.61	40
51.19	12
61.84	13
68.73	19
75.73	28
84.34	11

Starting from DFT lattice parameters and positions (GGA-PBE), the powder XRD pattern of Ga4Ir2Ru was simulated for Cu Kα (weighted mean of Kα1 and Kα2).
Intensities are scaled so that the largest is 100.

a b c (Å): 5.2171 5.2171 5.2171
angles (deg): 109.20 109.20 110.01
Positions (direct):
Ga: 0.0000 0.0000 0.5000
Ga: 0.0000 0.5000 0.0000
Ga: 0.5000 0.0000 0.0000
Ga: 0.5000 0.5000 0.5000
Ir: 0.0000 0.5000 0.5000
Ir: 0.5000 0.0000 0.5000
Ru: 0.0000 0.0000 0.0000

The 8 most intense peaks (10° ≤ 2θ ≤ 90°), sorted by position:
2theta	I_rel
20.78	39
20.89	12
36.66	19
42.30	51
42.52	100
61.36	17
77.50	34
77.96	17

Starting from DFT lattice parameters and positions (GGA-PBE), the powder XRD pattern of Ga2IrRu was simulated for Cu Kα (weighted mean of Kα1 and Kα2).
Intensities are scaled so that the largest is 100.

a b c (Å): 4.2972 4.2972 4.2972
angles (deg): 60.00 60.00 60.00
Positions (direct):
Ga: 0.2500 0.2500 0.2500
Ga: 0.7500 0.7500 0.7500
Ir: 0.0000 0.0000 0.0000
Ru: 0.5000 0.5000 0.5000

The 8 most intense peaks (10° ≤ 2θ ≤ 90°), sorted by position:
2theta	I_rel
25.39	9
29.39	14
42.05	100
49.76	5
52.14	4
60.99	16
69.13	5
76.85	33

Starting from DFT lattice parameters and positions (GGA-PBE), the powder XRD pattern of ScGaIrRu was simulated for Cu Kα (weighted mean of Kα1 and Kα2).
Intensities are scaled so that the largest is 100.

a b c (Å): 3.2048 4.3427 4.3737
angles (deg): 90.00 90.00 90.00
Positions (direct):
Sc: 0.0000 0.0000 0.0000
Ga: 0.0000 0.5000 0.5000
Ir: 0.5000 0.0000 0.5000
Ru: 0.5000 0.5000 0.0000

The 8 most intense peaks (10° ≤ 2θ ≤ 90°), sorted by position:
2theta	I_rel
27.84	12
28.97	22
40.61	100
41.28	24
41.59	23
60.04	16
74.81	16
75.23	16

Starting from DFT lattice parameters and positions (GGA-PBE), the powder XRD pattern of Sc11Ga9Ir4 was simulated for Cu Kα (weighted mean of Kα1 and Kα2).
Intensities are scaled so that the largest is 100.

a b c (Å): 12.0019 12.0019 3.3802
angles (deg): 90.00 90.00 112.66
Positions (direct):
Sc: 0.0000 0.0000 0.0000
Sc: 0.0654 0.4106 0.0000
Sc: 0.1648 0.8352 0.0000
Sc: 0.3042 0.3042 0.0000
Sc: 0.3716 0.6284 0.0000
Sc: 0.4106 0.0654 0.0000
Sc: 0.5894 0.9346 0.0000
Sc: 0.6284 0.3716 0.0000
Sc: 0.6958 0.6958 0.0000
Sc: 0.8352 0.1648 0.0000
Sc: 0.9346 0.5894 0.0000
Ga: 0.0698 0.2137 0.5000
Ga: 0.1591 0.6306 0.5000
Ga: 0.2137 0.0698 0.5000
Ga: 0.3694 0.8409 0.5000
Ga: 0.5000 0.5000 0.5000
Ga: 0.6306 0.1591 0.5000
Ga: 0.7863 0.9302 0.5000
Ga: 0.8409 0.3694 0.5000
Ga: 0.9302 0.7863 0.5000
Ir: 0.2415 0.4459 0.5000
Ir: 0.4459 0.2415 0.5000
Ir: 0.5541 0.7585 0.5000
Ir: 0.7585 0.5541 0.5000

The 8 most intense peaks (10° ≤ 2θ ≤ 90°), sorted by position:
2theta	I_rel
20.51	17
26.37	27
26.79	21
36.02	20
37.94	100
38.24	40
40.42	32
68.34	16

Starting from DFT lattice parameters and positions (GGA-PBE), the powder XRD pattern of ScTiGaIr was simulated for Cu Kα (weighted mean of Kα1 and Kα2).
Intensities are scaled so that the largest is 100.

a b c (Å): 3.2315 3.2315 6.4381
angles (deg): 90.00 90.00 90.00
Positions (direct):
Sc: 0.0000 0.0000 0.0000
Ti: 0.0000 0.0000 0.4810
Ga: 0.5000 0.5000 0.7186
Ir: 0.5000 0.5000 0.2711

The 8 most intense peaks (10° ≤ 2θ ≤ 90°), sorted by position:
2theta	I_rel
13.75	29
27.60	20
27.71	9
30.96	14
39.49	100
48.88	9
57.00	12
71.57	22

Starting from DFT lattice parameters and positions (GGA-PBE), the powder XRD pattern of Th2GaSi4Ir3 was simulated for Cu Kα (weighted mean of Kα1 and Kα2).
Intensities are scaled so that the largest is 100.

a b c (Å): 4.2239 4.2239 9.9980
angles (deg): 90.00 90.00 90.00
Positions (direct):
Th: 0.0000 0.5000 0.2455
Th: 0.5000 0.0000 0.7545
Ga: 0.0000 0.0000 0.5000
Si: 0.0000 0.0000 0.0000
Si: 0.0000 0.5000 0.6388
Si: 0.5000 0.0000 0.3612
Si: 0.5000 0.5000 0.0000
Ir: 0.0000 0.5000 0.8777
Ir: 0.5000 0.0000 0.1223
Ir: 0.5000 0.5000 0.5000

The 8 most intense peaks (10° ≤ 2θ ≤ 90°), sorted by position:
2theta	I_rel
27.65	30
29.92	38
31.26	45
34.27	100
35.00	95
42.82	67
50.50	33
55.95	51

Starting from DFT lattice parameters and positions (GGA-PBE), the powder XRD pattern of Sm2Ga9Ir3 was simulated for Cu Kα (weighted mean of Kα1 and Kα2).
Intensities are scaled so that the largest is 100.

a b c (Å): 7.6161 7.6161 9.5803
angles (deg): 90.00 90.00 60.27
Positions (direct):
Sm: 0.0022 0.6695 0.7500
Sm: 0.3305 0.9978 0.7500
Sm: 0.6695 0.0022 0.2500
Sm: 0.9978 0.3305 0.2500
Ga: 0.0010 0.6653 0.0787
Ga: 0.0010 0.6653 0.4213
Ga: 0.1295 0.8705 0.2500
Ga: 0.3334 0.6666 0.5626
Ga: 0.3334 0.6666 0.9374
Ga: 0.3347 0.9990 0.0787
Ga: 0.3347 0.9990 0.4213
Ga: 0.3391 0.4543 0.2500
Ga: 0.4543 0.3391 0.7500
Ga: 0.5457 0.6609 0.2500
Ga: 0.6609 0.5457 0.7500
Ga: 0.6653 0.0010 0.5787
Ga: 0.6653 0.0010 0.9213
Ga: 0.6666 0.3334 0.0626
Ga: 0.6666 0.3334 0.4374
Ga: 0.8705 0.1295 0.7500
Ga: 0.9990 0.3347 0.5787
Ga: 0.9990 0.3347 0.9213
Ir: 0.0000 0.0000 0.0000
Ir: 0.0000 0.0000 0.5000
Ir: 0.3290 0.3290 0.0000
Ir: 0.3290 0.3290 0.5000
Ir: 0.6710 0.6710 0.0000
Ir: 0.6710 0.6710 0.5000

The 8 most intense peaks (10° ≤ 2θ ≤ 90°), sorted by position:
2theta	I_rel
23.33	32
29.95	89
36.71	100
37.55	34
40.94	91
41.11	45
44.68	44
63.13	31

Starting from DFT lattice parameters and positions (GGA-PBE), the powder XRD pattern of SmGa4Ir2 was simulated for Cu Kα (weighted mean of Kα1 and Kα2).
Intensities are scaled so that the largest is 100.

a b c (Å): 17.2686 4.3356 6.6151
angles (deg): 90.00 90.00 90.00
Positions (direct):
Sm: 0.1403 0.2500 0.0026
Sm: 0.3597 0.7500 0.5026
Sm: 0.6403 0.2500 0.4974
Sm: 0.8597 0.7500 0.9974
Ga: 0.0350 0.7500 0.8449
Ga: 0.0678 0.2500 0.4886
Ga: 0.1871 0.7500 0.3030
Ga: 0.1891 0.7500 0.7110
Ga: 0.3109 0.2500 0.2110
Ga: 0.3129 0.2500 0.8030
Ga: 0.4322 0.7500 0.9886
Ga: 0.4650 0.2500 0.3449
Ga: 0.5350 0.7500 0.6551
Ga: 0.5678 0.2500 0.0114
Ga: 0.6871 0.7500 0.1970
Ga: 0.6891 0.7500 0.7890
Ga: 0.8109 0.2500 0.2890
Ga: 0.8129 0.2500 0.6970
Ga: 0.9322 0.7500 0.5114
Ga: 0.9650 0.2500 0.1551
Ir: 0.0374 0.7500 0.2431
Ir: 0.2138 0.2500 0.5076
Ir: 0.2862 0.7500 0.0076
Ir: 0.4626 0.2500 0.7431
Ir: 0.5374 0.7500 0.2569
Ir: 0.7138 0.2500 0.9924
Ir: 0.7862 0.7500 0.4924
Ir: 0.9626 0.2500 0.7569

The 8 most intense peaks (10° ≤ 2θ ≤ 90°), sorted by position:
2theta	I_rel
28.91	26
29.16	37
35.69	100
35.91	53
38.97	33
41.66	53
46.79	35
58.36	20

Starting from DFT lattice parameters and positions (GGA-PBE), the powder XRD pattern of Sm3GaIr3 was simulated for Cu Kα (weighted mean of Kα1 and Kα2).
Intensities are scaled so that the largest is 100.

a b c (Å): 5.6377 5.6377 13.9158
angles (deg): 90.00 90.00 136.32
Positions (direct):
Sm: 0.0123 0.9877 0.7500
Sm: 0.2930 0.7070 0.6062
Sm: 0.2930 0.7070 0.8938
Sm: 0.7070 0.2930 0.1062
Sm: 0.7070 0.2930 0.3938
Sm: 0.9877 0.0123 0.2500
Ga: 0.0000 0.0000 0.0000
Ga: 0.0000 0.0000 0.5000
Ir: 0.2714 0.7286 0.2500
Ir: 0.4179 0.5821 0.0883
Ir: 0.4179 0.5821 0.4117
Ir: 0.5821 0.4179 0.5883
Ir: 0.5821 0.4179 0.9117
Ir: 0.7286 0.2714 0.7500

The 8 most intense peaks (10° ≤ 2θ ≤ 90°), sorted by position:
2theta	I_rel
26.23	17
29.96	17
33.41	25
34.57	39
38.79	100
39.54	24
43.13	29
59.42	14

Starting from DFT lattice parameters and positions (GGA-PBE), the powder XRD pattern of SmGa8Ir2 was simulated for Cu Kα (weighted mean of Kα1 and Kα2).
Intensities are scaled so that the largest is 100.

a b c (Å): 6.3349 6.3349 5.3171
angles (deg): 90.00 90.00 90.00
Positions (direct):
Sm: 0.0000 0.0000 0.0000
Ga: 0.2917 0.2917 0.2483
Ga: 0.2917 0.2917 0.7517
Ga: 0.2917 0.7083 0.2483
Ga: 0.2917 0.7083 0.7517
Ga: 0.7083 0.2917 0.2483
Ga: 0.7083 0.2917 0.7517
Ga: 0.7083 0.7083 0.2483
Ga: 0.7083 0.7083 0.7517
Ir: 0.0000 0.5000 0.5000
Ir: 0.5000 0.0000 0.5000

The 8 most intense peaks (10° ≤ 2θ ≤ 90°), sorted by position:
2theta	I_rel
26.01	100
31.58	17
40.27	53
42.83	15
44.49	92
48.57	37
76.15	21
84.80	19

Starting from DFT lattice parameters and positions (GGA-PBE), the powder XRD pattern of SmGaIr4 was simulated for Cu Kα (weighted mean of Kα1 and Kα2).
Intensities are scaled so that the largest is 100.

a b c (Å): 5.3123 5.3123 5.3123
angles (deg): 60.00 60.00 60.00
Positions (direct):
Sm: 0.0000 0.0000 0.0000
Ga: 0.7500 0.7500 0.7500
Ir: 0.3756 0.3756 0.3756
Ir: 0.3756 0.3756 0.8731
Ir: 0.3756 0.8731 0.3756
Ir: 0.8731 0.3756 0.3756

The 8 most intense peaks (10° ≤ 2θ ≤ 90°), sorted by position:
2theta	I_rel
20.48	31
33.74	13
39.79	100
41.64	59
48.47	14
64.44	33
70.97	30
85.79	23